Starting from a structure optimized by DFT (GGA+U), the powder XRD pattern of WC6O6 was calculated for Cu Kα (λ = 1.5418 Å).

Top 10 peaks for 10 to 80 degrees two-theta, in order of falling intensity:
2θ/deg  I (rel.)  index
14.89  100  0 2 0
15.90  92  2 1 0
16.68  74  1 1 1
21.12  36  1 2 1
26.52  32  2 3 0
29.19  25  3 2 1
26.08  25  3 1 1
33.78  23  3 3 1
30.02  16  0 4 0
31.03  16  2 1 2

Structural model:
Unit cell a=12.6088 b=11.9149 c=6.7347 alpha=90.00 beta=90.00 gamma=90.00
Space group Pnma (No. 62)
Symmetry-distinct sites (fractional):
W: 0.1272 0.2500 0.0615
C: 0.0292 0.1263 0.1796
C: 0.0366 0.2500 0.8030
C: 0.2185 0.2500 0.3186
C: 0.2242 0.1252 0.9427
O: 0.0133 0.7500 0.3417
O: 0.0260 0.5574 0.7559
O: 0.2225 0.5553 0.3768
O: 0.2305 0.7500 0.9621